Starting from a cell relaxed with GGA-PBE, the powder XRD pattern of Zr10HgBi6 was calculated for Cu Ka.
Intensities are scaled so that the largest is 100.

Peak list (10 most intense, 5° ≤ 2θ ≤ 70°, in order of rising 2θ)
2θ/deg  Rel. int.
25.1  46
29.7  21
34.5  82
35.3  88
36.1  100
45.5  35
51.4  22
55.8  18
64.0  30
66.8  22

Structural model:
Cell lengths 8.8001, 8.8001, 6.0229 Å; angles 90.00, 90.00, 120.00 degrees
Space group P-31m (No. 162)
Unique sites:
1 Zr 0.0000 0.2659 0.2773 x6
2 Zr 0.3333 0.6667 0.0000 x2
3 Zr 0.3333 0.6667 0.5000 x2
4 Hg 0.0000 0.0000 0.0000 x1
5 Bi 0.0000 0.3841 0.7602 x6